This entry pairs a crystal structure of Ga2Mo3O8 with its theoretical X-ray powder pattern. Radiation: CuKα. Structure: a DFT-relaxed cell (PBE+U, Alexandria).
No peak broadening, texture or thermal motion is included.

Principal peaks in the range 10° ≤ 2θ ≤ 80°, low angle first:
two_theta  I_rel
19.0  673
26.8  271
30.5  235
30.9  404
32.0  375
33.1  1000
33.5  525
41.8  524
58.4  359
62.8  259

Crystal structure
```
Ga2Mo3O8
1.0
5.0217 -3.2024 0.0000
5.0217 3.2024 0.0000
-2.0219 0.0000 5.0583
Ga Mo O
2 3 8
direct
0.1725 0.1725 0.1236
0.8275 0.8275 0.8764
0.2379 0.7621 0.5000
0.5000 0.5000 0.0000
0.7621 0.2379 0.5000
0.1204 0.1204 0.7499
0.1307 0.6413 0.7545
0.3587 0.8693 0.2455
0.3786 0.3786 0.2581
0.6214 0.6214 0.7419
0.6413 0.1307 0.7545
0.8693 0.3587 0.2455
0.8796 0.8796 0.2501
```